Starting from a cell relaxed with PBE, the X-ray powder pattern of AcCdCu10 was simulated for Cu Kα, 1.54184 Å.

Main lines, by intensity (5° ≤ 2θ ≤ 70°):
two_theta	I (rel.)
41.6	100
29.7	81
41.7	53
44.0	42
40.9	36
35.2	31
57.5	23
67.7	22
40.8	22
61.6	21

Crystal structure
```
data_AcCdCu10
_chemical_formula_sum 'Ac1 Cd1 Cu10'
_symmetry_space_group_name_H-M 'P m m m'
_symmetry_Int_Tables_number 47
_symmetry_space_group_name_Hall '-P 2 2'
_cell_length_a 4.1169
_cell_length_b 5.0872
_cell_length_c 8.8518
_cell_angle_alpha 90.00
_cell_angle_beta 90.00
_cell_angle_gamma 90.00
loop_
_atom_site_label
_atom_site_type_symbol
_atom_site_fract_x
_atom_site_fract_y
_atom_site_fract_z
_atom_site_occupancy
Ac1 Ac 0.0000 0.0000 0.0000 1
Cd1 Cd 0.0000 0.5000 0.5000 1
Cu1 Cu 0.0000 0.0000 0.3498 1
Cu2 Cu 0.0000 0.5000 0.1939 1
Cu3 Cu 0.5000 0.0000 0.5000 1
Cu4 Cu 0.5000 0.2513 0.2577 1
Cu5 Cu 0.5000 0.5000 0.0000 1
```